1.
For Tb4NdErTm2, a DFT-relaxed cell (GGA-PBE, Alexandria) gives the calculated X-ray diffraction stick pattern in this record (a wavelength of 1.5418 Å).

Peak list (10 most intense, 2θ from 10° to 90°, by intensity)
2θ/deg, intensity
30.45, 100
41.11, 89
26.96, 45
61.48, 27
64.69, 23
54.12, 20
70.15, 18
63.37, 12
81.28, 12
88.03, 10

Structure:
abc: 13.5596 13.2305 6.7768
angles: 90.00 119.98 90.00
Space group C2/c (No. 15)
Asymmetric unit:
Tb  0.9999  0.2493  0.0020
Tb  0.2494  0.0031  0.4983
Nd  0.2500  0.2500  0.0000
Er  0.0000  0.5000  0.0000
Tm  0.0000  0.0000  0.0000
Tm  0.2500  0.2500  0.5000

***

2.
For Tb2NdY2Er, a DFT-relaxed cell (GGA-PBE, Alexandria) gives the calculated X-ray diffraction stick pattern in this record (a wavelength of 1.5418 Å).

Peak list (10 most intense, 2θ from 10° to 90°, by intensity)
2θ/deg, intensity
30.37, 100
28.60, 76
40.92, 46
33.66, 42
31.27, 34
35.99, 26
26.76, 24
64.17, 23
29.55, 22
62.30, 20

Structure:
abc: 6.6729 17.6789 3.3915
angles: 90.00 90.00 90.00
Space group Pnnm (No. 58)
Asymmetric unit:
Tb  0.2386  0.1786  0.0000
Nd  0.0000  0.5000  0.0000
Y  0.2364  0.3488  0.5000
Er  0.0000  0.0000  0.0000